This entry pairs a crystal structure of Li3Zn2Au8 with its simulated powder diffractogram. Radiation: copper Kα. Structure: a structure optimized by DFT (PBE).

Structural model:
```
data_Li3Zn2Au8
_chemical_formula_sum 'Li9 Zn6 Au24'
_cell_length_a 5.4457
_cell_length_b 5.4457
_cell_length_c 28.6492
_cell_angle_alpha 90.00
_cell_angle_beta 90.00
_cell_angle_gamma 120.00
_space_group_name_H-M_alt 'R -3 m'
_space_group_IT_number 166
_space_group_name_Hall '-R 3 2"'
loop_
_atom_site_label
_atom_site_type_symbol
_atom_site_fract_x
_atom_site_fract_y
_atom_site_fract_z
_atom_site_occupancy
Li1 Li 0.0000 0.0000 0.0000 1
Li2 Li 0.0000 0.0000 0.1887 1
Zn1 Zn 0.0000 0.0000 0.3685 1
Au1 Au 0.0000 0.0000 0.2819 1
Au2 Au 0.0015 0.5007 0.7768 1
```

Most intense lines, 10° ≤ 2θ ≤ 90°, in order of rising 2θ:
d_spacing  2θ (°)  intensity
4.775  18.58  47
3.641  24.45  42
3.091  28.88  38
2.618  34.24  34
2.327  38.70  100
2.280  39.53  30
2.240  40.27  46
2.069  43.75  44
2.043  44.33  21
1.361  68.98  25